La2Pr2Nd2Dy: computed X-ray diffraction stick pattern (λ = 1.5418 Å (Cu Kα)), based on a structure optimized by DFT (GGA-PBE).
Intensities are scaled so that the largest is 100.

Peak list (10 most intense, 15 to 90 degrees two-theta, sorted by position)
29.63°, d = 3.015 Å, I 100; 34.30°, d = 2.614 Å, I 34; 34.42°, d = 2.605 Å, I 17; 49.36°, d = 1.846 Å, I 36; 58.58°, d = 1.576 Å, I 29; 58.73°, d = 1.572 Å, I 14; 61.51°, d = 1.508 Å, I 12; 80.01°, d = 1.199 Å, I 6; 80.14°, d = 1.198 Å, I 12; 82.54°, d = 1.169 Å, I 10

Atomic structure:
abc: 11.6582 5.2291 8.2630
angles: 90.00 98.25 90.00
Space group C2/m (No. 12)
Symmetry-distinct sites (fractional):
La (0.1425, 0.0000, 0.4257) (multiplicity 4)
Pr (0.2148, 0.5000, 0.1404) (multiplicity 4)
Nd (0.0702, 0.5000, 0.7165) (multiplicity 4)
Dy (0.0000, 0.0000, 0.0000) (multiplicity 2)